The following is a computed X-ray powder pattern of Nd2HIrO6. It was derived from a DFT-relaxed cell (GGA-PBE, Alexandria), using Cu Kα X-rays.
No peak broadening, texture or thermal motion is included.

Main lines, most intense first (10 to 90 degrees two-theta):
| d (Å) | intensity |
| --- | --- |
| 2.824 | 100.0 |
| 2.755 | 91.2 |
| 4.413 | 60.4 |
| 1.871 | 44.1 |
| 2.597 | 38.9 |
| 2.698 | 38.2 |
| 4.462 | 34.6 |
| 2.091 | 28.0 |
| 2.321 | 25.7 |
| 1.593 | 25.2 |
| 1.629 | 22.8 |
| 1.556 | 18.1 |

Atomic structure:
a b c (Å): 5.544 5.544 5.399
angles (deg): 117.37 117.37 55.87
Fractional coordinates of all 10 atoms:
1 Nd 0.243 0.243 0.224
2 Nd 0.757 0.757 0.776
3 H 0.500 0.500 0.000
4 Ir 0.000 0.000 0.500
5 O 0.204 0.688 0.189
6 O 0.233 0.233 0.644
7 O 0.312 0.796 0.811
8 O 0.688 0.204 0.189
9 O 0.767 0.767 0.356
10 O 0.796 0.312 0.811